Starting from a structure optimized by DFT (GGA-PBE), the X-ray diffraction stick pattern of LiAlGeO5 was calculated for Cu Ka.

Structure:
Cell lengths 10.8066, 8.3513, 5.1686 Å; angles 90.00, 90.00, 90.00 degrees
Fractional coordinates of all 32 atoms:
Li  0.1896  0.1813  0.0000
Li  0.3104  0.6813  0.5000
Li  0.6896  0.3187  0.0000
Li  0.8104  0.8187  0.5000
Al  0.1627  0.5779  0.0045
Al  0.3373  0.0779  0.5045
Al  0.6627  0.9221  0.0045
Al  0.8373  0.4221  0.5045
Ge  0.1378  0.3679  0.5040
Ge  0.3622  0.8679  0.0040
Ge  0.6378  0.1321  0.5040
Ge  0.8622  0.6321  0.0040
O  0.0110  0.0914  0.9967
O  0.0188  0.6681  0.0668
O  0.1710  0.3909  0.1716
O  0.1904  0.5425  0.6707
O  0.2203  0.2022  0.6283
O  0.2797  0.7022  0.1283
O  0.3096  0.0425  0.1707
O  0.3290  0.8909  0.6716
O  0.4812  0.1681  0.5668
O  0.4890  0.5914  0.4967
O  0.5110  0.4086  0.9967
O  0.5188  0.8319  0.0668
O  0.6710  0.1091  0.1716
O  0.6904  0.9575  0.6707
O  0.7203  0.2978  0.6283
O  0.7797  0.7978  0.1283
O  0.8096  0.4575  0.1707
O  0.8290  0.6091  0.6716
O  0.9812  0.3319  0.5668
O  0.9890  0.9086  0.4967

Most intense lines, 10° ≤ 2θ ≤ 90°, low angle first:
- hkl 1 1 0, 13.40°, I 100
- hkl 2 1 0, 19.57°, I 52
- hkl 0 1 1, 20.21°, I 79
- hkl 2 0 1, 23.82°, I 18
- hkl 3 1 0, 26.96°, I 70
- hkl 1 2 1, 28.70°, I 89
- hkl 0 0 2, 34.71°, I 32
- hkl 3 2 1, 37.30°, I 26
- hkl 4 3 1, 50.26°, I 15
- hkl 3 2 3, 63.92°, I 15